1.
Computed X-ray diffraction stick pattern of Tl2Hg4PbAu2 for Cu Kα, from DFT lattice parameters and positions (PBE).

Principal peaks in the range 10 to 90 degrees two-theta, in order of rising 2θ:
h k l, d [Å], I/Imax
2 -1 0, 3.145, 30
2 0 0, 2.976, 27
2 0 -1, 2.880, 42
0 2 0, 2.825, 100
1 -2 2, 2.787, 97
-2 1 1, 2.700, 27
1 0 2, 2.498, 70
-2 2 1, 2.149, 29

Atomic structure:
Lattice parameters (Å, degrees): 6.387 6.798 6.824 116.92 90.48 108.64
Space group P-1 (No. 2)
Symmetry-distinct sites (fractional):
Tl (0.231, 0.470, 0.111)
Hg (0.251, 0.479, 0.613)
Hg (0.277, 0.987, 0.567)
Pb (0.500, 0.000, 0.000)
Au (0.098, 0.025, 0.200)


2.
Computed X-ray diffraction stick pattern of Dy2PuRuN4 for Cu Kα, from DFT lattice parameters and positions (PBE).

Principal peaks in the range 10 to 90 degrees two-theta, in order of rising 2θ:
h k l, d [Å], I/Imax
0 2 3, 3.206, 59
0 4 0, 2.892, 98
1 1 2, 2.803, 100
1 3 1, 2.465, 27
1 3 2, 2.312, 79
0 4 4, 2.044, 26
1 5 2, 1.807, 30
2 4 0, 1.445, 26

Atomic structure:
Lattice parameters (Å, degrees): 3.336 11.579 11.549 90.00 90.00 90.00
Space group Cmcm (No. 63)
Symmetry-distinct sites (fractional):
Dy (0.000, 0.130, 0.046)
Pu (0.000, 0.383, 0.250)
Ru (0.000, 0.356, 0.750)
N (0.000, 0.035, 0.250)
N (0.000, 0.226, 0.633)
N (0.000, 0.500, 0.000)


3.
Computed X-ray diffraction stick pattern of Ba3Zn2PtO6 for Cu Kα, from DFT lattice parameters and positions (PBE).

Principal peaks in the range 10 to 90 degrees two-theta, in order of rising 2θ:
h k l, d [Å], I/Imax
0 0 1, 6.978, 25
1 1 0, 2.971, 100
0 1 2, 2.888, 89
2 0 2, 2.071, 48
3 0 0, 1.715, 20
1 2 2, 1.699, 38
1 0 4, 1.652, 17
2 2 0, 1.485, 16

Atomic structure:
Lattice parameters (Å, degrees): 5.9419 5.9419 6.9775 90.00 90.00 120.00
Space group P-3m1 (No. 164)
Symmetry-distinct sites (fractional):
Ba (0.0000, 0.0000, 0.0000)
Ba (0.3333, 0.6667, 0.6406)
Zn (0.3333, 0.6667, 0.1903)
Pt (0.0000, 0.0000, 0.5000)
O (0.1618, 0.3237, 0.3169)